# Ba2Hg
Simulated powder diffraction line list, λ = 1.5418 Å (Cu Kα). Input: a DFT-relaxed cell (GGA-PBE, Alexandria).

Cell and atoms:
```
data_Ba2Hg
_chemical_formula_sum 'Ba8 Hg4'
_space_group_name_H-M_alt 'I 4/m c m'
_space_group_IT_number 140
_space_group_name_Hall '-I 4 2c'
_cell_length_a 8.390
_cell_length_b 8.390
_cell_length_c 7.903
_cell_angle_alpha 90.00
_cell_angle_beta 90.00
_cell_angle_gamma 90.00
loop_
_atom_site_label
_atom_site_fract_x
_atom_site_fract_y
_atom_site_fract_z
Ba1 0.188 0.312 0.000
Hg1 0.000 0.000 0.250
```

Main lines, by angle (10 to 90 degrees two-theta):
h k l, 2theta, I/Imax
1 1 0, 14.93, 48
2 1 1, 26.29, 61
1 1 2, 27.11, 53
2 2 0, 30.13, 40
2 0 2, 31.09, 100
3 1 0, 33.78, 46
4 1 1, 46.06, 26
3 3 2, 51.69, 29
3 1 4, 58.22, 20
5 3 0, 64.80, 18
2 0 6, 75.64, 20
5 3 4, 83.02, 17

***

# LiAl2H4Pb2O4F6
Simulated powder diffraction line list, λ = 1.5418 Å (Cu Kα). Input: a DFT-relaxed cell (GGA-PBE, Alexandria).

Cell and atoms:
```
data_LiAl2H4Pb2O4F6
_chemical_formula_sum 'Li1 Al2 H4 Pb2 O4 F6'
_space_group_name_H-M_alt 'P -1'
_space_group_IT_number 2
_cell_length_a 5.044
_cell_length_b 6.023
_cell_length_c 7.796
_cell_angle_alpha 110.83
_cell_angle_beta 99.35
_cell_angle_gamma 95.28
loop_
_space_group_symop_operation_xyz
'x,y,z'
'-x,-y,-z'
loop_
_atom_site_label
_atom_site_fract_x
_atom_site_fract_y
_atom_site_fract_z
Li1 0.000 0.000 0.000
Al1 0.156 0.697 0.166
H1 0.157 0.272 0.626
H2 0.341 0.325 0.993
Pb1 0.342 0.727 0.631
O1 0.014 0.372 0.652
O2 0.168 0.367 0.027
F1 0.102 0.015 0.260
F2 0.342 0.791 0.010
F3 0.483 0.768 0.332
```

Main lines, by angle (10 to 90 degrees two-theta):
h k l, 2theta, I/Imax
0 0 1, 12.42, 64
0 1 -1, 16.11, 43
1 -1 0, 22.13, 60
0 1 -2, 24.07, 100
1 1 -1, 24.28, 40
1 1 0, 26.10, 46
-1 1 1, 26.56, 42
1 0 -2, 27.68, 34
0 2 0, 32.23, 38
1 0 2, 34.05, 25
1 2 -2, 37.47, 23
1 2 -3, 42.60, 27